Diffraction record for Pa4BiN6. The X-ray powder pattern is calculated, not measured: it uses the PBE geometry in Alexandria and Cu Kα (λ = 1.5418 Å).
Lines closer than 0.1° are merged.

The 10 most intense peaks (2θ = 10–90°), sorted by position:
2θ/deg, I (rel.)
29.23, 100
32.45, 33
36.58, 12
46.55, 16
49.69, 26
55.91, 34
60.61, 12
61.39, 12
80.41, 12
88.72, 11

Structure:
Cell: 12.5898 12.5898 12.5898 Å, 162.17 162.17 25.32°
Positions (direct):
Pa 0.0969 0.0969 0.0000
Pa 0.3013 0.3013 0.0000
Pa 0.6987 0.6987 0.0000
Pa 0.9031 0.9031 0.0000
Bi 0.5000 0.5000 0.0000
N 0.1365 0.6365 0.5000
N 0.2500 0.7500 0.5000
N 0.3635 0.8635 0.5000
N 0.6365 0.1365 0.5000
N 0.7500 0.2500 0.5000
N 0.8635 0.3635 0.5000